This entry pairs a crystal structure of AgTe10Au4 with its simulated powder diffractogram. Radiation: Cu Kα X-rays. Structure: a cell relaxed with PBE.
Kinematic intensities with the Lorentz-polarization factor, no thermal factor.

Cell and atoms:
Lattice parameters (Å, degrees): 4.269 4.269 25.703 90.75 90.75 60.28
Element x y z (fractional)
Ag: 0.000 0.000 0.000
Te: 0.313 0.313 0.142
Te: 0.313 0.313 0.742
Te: 0.314 0.314 0.342
Te: 0.314 0.314 0.542
Te: 0.315 0.315 0.941
Te: 0.685 0.685 0.059
Te: 0.686 0.686 0.458
Te: 0.686 0.686 0.658
Te: 0.687 0.687 0.258
Te: 0.687 0.687 0.858
Au: 0.000 0.000 0.200
Au: 0.000 0.000 0.400
Au: 0.000 0.000 0.600
Au: 0.000 0.000 0.800

Most intense lines, 10° ≤ 2θ ≤ 90°, sorted by position:
Position (°2θ), d_spacing, I_rel
17.25, 5.140, 14
29.58, 3.020, 44
29.82, 2.996, 100
42.16, 2.143, 20
42.35, 2.134, 36
42.64, 2.120, 36
43.19, 2.094, 18
52.34, 1.748, 18
61.94, 1.498, 12
69.51, 1.352, 14